This entry pairs a crystal structure of RbNaSi2O5 with its computed powder XRD pattern. Radiation: copper Kα. Structure: a cell relaxed with PBE.

Structural model:
Cell lengths 4.9437, 13.7808, 7.9132 Å; angles 90.00, 91.00, 90.00 degrees
Space group P2_1/c (No. 14)
One atom of each set of equivalent atoms:
Rb: 0.2201 0.1971 0.2844 (multiplicity 4)
Na: 0.2702 0.5923 0.9610 (multiplicity 4)
Si: 0.2028 0.0454 0.7897 (multiplicity 4)
Si: 0.2923 0.6307 0.5207 (multiplicity 4)
O: 0.1176 0.5721 0.6672 (multiplicity 4)
O: 0.2282 0.7425 0.5002 (multiplicity 4)
O: 0.2456 0.5715 0.3374 (multiplicity 4)
O: 0.2584 0.0652 0.5952 (multiplicity 4)
O: 0.3850 0.1114 0.9251 (multiplicity 4)

Principal peaks in the range 2θ = 5–70°, most intense first:
28.25 deg, I = 1000, (0 4 1)
29.88 deg, I = 837, (1 1 2)
28.96 deg, I = 733, (1 3 1)
29.39 deg, I = 714, (1 1 -2)
28.68 deg, I = 650, (1 0 -2)
36.35 deg, I = 639, (2 0 0)
19.07 deg, I = 232, (1 1 0)
36.48 deg, I = 228, (0 2 3)